Computed powder XRD pattern
Compound: Pr5Sc4Hg4
Radiation: Cu Kα X-rays
Structure: the PBE geometry in Alexandria
Intensities are scaled so that the largest is 1000.

Crystal structure
a = 8.977 Å, b = 8.977 Å, c = 8.977 Å
α = 94.38°, β = 94.38°, γ = 147.93°
Sites, in units of the cell vectors:
1 Pr 0.000 0.000 0.000
2 Pr 0.308 0.624 0.933
3 Pr 0.376 0.308 0.684
4 Pr 0.624 0.692 0.316
5 Pr 0.692 0.376 0.067
6 Sc 0.095 0.414 0.510
7 Sc 0.414 0.905 0.319
8 Sc 0.586 0.095 0.681
9 Sc 0.905 0.586 0.490
10 Hg 0.076 0.746 0.822
11 Hg 0.254 0.076 0.330
12 Hg 0.746 0.924 0.670
13 Hg 0.924 0.254 0.178

Most intense lines, 2θ from 5° to 70°, low angle first:
2θ/deg, d (Å), I (rel.)
24.25, 3.670, 539
28.38, 3.145, 556
32.02, 2.795, 1000
32.83, 2.728, 494
35.32, 2.541, 847
36.22, 2.480, 476
43.23, 2.093, 256
49.68, 1.835, 313

---

Computed powder XRD pattern
Compound: Pr6HgSe4
Radiation: Cu Kα X-rays
Structure: the PBE geometry in Alexandria
Intensities are scaled so that the largest is 1000.

Crystal structure
a = 7.385 Å, b = 7.385 Å, c = 21.774 Å
α = 90.00°, β = 90.00°, γ = 146.74°
Sites, in units of the cell vectors:
1 Pr 0.000 0.000 0.000
2 Pr 0.000 0.000 0.500
3 Pr 0.170 0.830 0.750
4 Pr 0.273 0.727 0.083
5 Pr 0.273 0.727 0.417
6 Pr 0.453 0.547 0.663
7 Pr 0.453 0.547 0.837
8 Pr 0.547 0.453 0.163
9 Pr 0.547 0.453 0.337
10 Pr 0.727 0.273 0.583
11 Pr 0.727 0.273 0.917
12 Pr 0.830 0.170 0.250
13 Hg 0.162 0.838 0.250
14 Hg 0.838 0.162 0.750
15 Se 0.090 0.910 0.625
16 Se 0.090 0.910 0.875
17 Se 0.363 0.637 0.541
18 Se 0.363 0.637 0.959
19 Se 0.637 0.363 0.041
20 Se 0.637 0.363 0.459
21 Se 0.910 0.090 0.125
22 Se 0.910 0.090 0.375

Most intense lines, 2θ from 5° to 70°, low angle first:
2θ/deg, d (Å), I (rel.)
27.62, 3.229, 705
28.65, 3.116, 354
29.54, 3.024, 1000
30.96, 2.888, 345
39.91, 2.259, 301
41.84, 2.159, 265
42.78, 2.114, 309
51.69, 1.768, 253

---

Computed powder XRD pattern
Compound: Pr5HgSe4
Radiation: Cu Kα X-rays
Structure: the PBE geometry in Alexandria
Intensities are scaled so that the largest is 1000.

Crystal structure
a = 7.466 Å, b = 7.466 Å, c = 7.466 Å
α = 99.60°, β = 99.60°, γ = 131.78°
Sites, in units of the cell vectors:
1 Pr 0.000 0.000 0.000
2 Pr 0.193 0.602 0.795
3 Pr 0.398 0.193 0.592
4 Pr 0.602 0.807 0.408
5 Pr 0.807 0.398 0.205
6 Hg 0.500 0.500 0.000
7 Se 0.101 0.300 0.402
8 Se 0.300 0.899 0.199
9 Se 0.700 0.101 0.801
10 Se 0.899 0.700 0.598

Most intense lines, 2θ from 5° to 70°, low angle first:
2θ/deg, d (Å), I (rel.)
17.20, 5.154, 34
25.30, 3.520, 69
29.30, 3.048, 1000
41.91, 2.156, 756
49.59, 1.838, 28
51.96, 1.760, 266
60.77, 1.524, 124
68.87, 1.363, 341

---

Computed powder XRD pattern
Compound: Pr7HgSe5
Radiation: Cu Kα X-rays
Structure: the PBE geometry in Alexandria
Intensities are scaled so that the largest is 1000.

Crystal structure
a = 7.335 Å, b = 7.335 Å, c = 25.594 Å
α = 90.00°, β = 90.00°, γ = 146.45°
Sites, in units of the cell vectors:
1 Pr 0.028 0.972 0.750
2 Pr 0.137 0.863 0.037
3 Pr 0.137 0.863 0.463
4 Pr 0.314 0.686 0.676
5 Pr 0.314 0.686 0.824
6 Pr 0.413 0.587 0.108
7 Pr 0.413 0.587 0.392
8 Pr 0.587 0.413 0.608
9 Pr 0.587 0.413 0.892
10 Pr 0.686 0.314 0.176
11 Pr 0.686 0.314 0.324
12 Pr 0.863 0.137 0.537
13 Pr 0.863 0.137 0.963
14 Pr 0.972 0.028 0.250
15 Hg 0.301 0.699 0.250
16 Hg 0.699 0.301 0.750
17 Se 0.050 0.950 0.142
18 Se 0.050 0.950 0.358
19 Se 0.224 0.776 0.571
20 Se 0.224 0.776 0.929
21 Se 0.500 0.500 0.000
22 Se 0.500 0.500 0.500
23 Se 0.776 0.224 0.071
24 Se 0.776 0.224 0.429
25 Se 0.950 0.050 0.642
26 Se 0.950 0.050 0.858

Most intense lines, 2θ from 5° to 70°, low angle first:
2θ/deg, d (Å), I (rel.)
27.50, 3.243, 752
29.28, 3.050, 1000
30.33, 2.947, 702
38.67, 2.328, 301
41.74, 2.164, 239
42.46, 2.129, 540
42.71, 2.117, 349
51.55, 1.773, 269

---

Computed powder XRD pattern
Compound: PrSmHg4
Radiation: Cu Kα X-rays
Structure: the PBE geometry in Alexandria
Intensities are scaled so that the largest is 1000.

Crystal structure
a = 10.818 Å, b = 3.989 Å, c = 7.971 Å
α = 90.00°, β = 111.37°, γ = 90.00°
Sites, in units of the cell vectors:
1 Pr 0.000 0.000 0.000
2 Pr 0.500 0.500 0.000
3 Sm 0.000 0.000 0.500
4 Sm 0.500 0.500 0.500
5 Hg 0.169 0.500 0.340
6 Hg 0.169 0.500 0.829
7 Hg 0.331 0.000 0.171
8 Hg 0.331 0.000 0.660
9 Hg 0.669 0.000 0.340
10 Hg 0.669 0.000 0.829
11 Hg 0.831 0.500 0.171
12 Hg 0.831 0.500 0.660

Most intense lines, 2θ from 5° to 70°, low angle first:
2θ/deg, d (Å), I (rel.)
31.73, 2.820, 855
34.90, 2.571, 1000
35.02, 2.563, 330
45.49, 1.994, 320
58.53, 1.577, 303
58.69, 1.573, 301
64.50, 1.445, 114
64.70, 1.441, 113

---

Computed powder XRD pattern
Compound: PrSm5Hg3
Radiation: Cu Kα X-rays
Structure: the PBE geometry in Alexandria
Intensities are scaled so that the largest is 1000.

Crystal structure
a = 9.298 Å, b = 9.298 Å, c = 7.085 Å
α = 90.00°, β = 90.00°, γ = 120.00°
Sites, in units of the cell vectors:
1 Pr 0.000 0.000 0.000
2 Pr 0.000 0.000 0.500
3 Sm 0.000 0.331 0.250
4 Sm 0.000 0.669 0.750
5 Sm 0.331 0.000 0.250
6 Sm 0.331 0.331 0.750
7 Sm 0.333 0.667 0.000
8 Sm 0.333 0.667 0.500
9 Sm 0.667 0.333 0.000
10 Sm 0.667 0.333 0.500
11 Sm 0.669 0.000 0.750
12 Sm 0.669 0.669 0.250
13 Hg 0.000 0.339 0.750
14 Hg 0.000 0.661 0.250
15 Hg 0.339 0.000 0.750
16 Hg 0.339 0.339 0.250
17 Hg 0.661 0.000 0.250
18 Hg 0.661 0.661 0.750

Most intense lines, 2θ from 5° to 70°, low angle first:
2θ/deg, d (Å), I (rel.)
25.14, 3.543, 113
31.76, 2.818, 960
33.38, 2.684, 1000
42.24, 2.139, 176
46.74, 1.944, 330
58.64, 1.574, 336
59.66, 1.550, 190
62.86, 1.478, 327

---

Computed powder XRD pattern
Compound: Pr2Sm3Hg7
Radiation: Cu Kα X-rays
Structure: the PBE geometry in Alexandria
Intensities are scaled so that the largest is 1000.

Crystal structure
a = 12.193 Å, b = 12.193 Å, c = 5.501 Å
α = 90.00°, β = 90.00°, γ = 154.98°
Sites, in units of the cell vectors:
1 Pr 0.143 0.857 0.000
2 Pr 0.857 0.143 0.000
3 Sm 0.335 0.665 0.500
4 Sm 0.500 0.500 0.500
5 Sm 0.665 0.335 0.500
6 Hg 0.000 0.000 0.000
7 Hg 0.080 0.920 0.500
8 Hg 0.277 0.723 0.000
9 Hg 0.427 0.573 0.000
10 Hg 0.573 0.427 0.000
11 Hg 0.723 0.277 0.000
12 Hg 0.920 0.080 0.500

Most intense lines, 2θ from 5° to 70°, low angle first:
2θ/deg, d (Å), I (rel.)
7.43, 11.904, 107
30.04, 2.975, 212
32.55, 2.750, 377
33.95, 2.641, 338
35.38, 2.537, 1000
47.74, 1.905, 263
59.93, 1.544, 221
61.67, 1.504, 203

---

Computed powder XRD pattern
Compound: Pr8Sm2Hg
Radiation: Cu Kα X-rays
Structure: the PBE geometry in Alexandria
Intensities are scaled so that the largest is 1000.

Crystal structure
a = 9.430 Å, b = 9.430 Å, c = 8.004 Å
α = 110.23°, β = 110.23°, γ = 35.27°
Sites, in units of the cell vectors:
1 Pr 0.013 0.013 0.267
2 Pr 0.182 0.182 0.729
3 Pr 0.336 0.336 0.574
4 Pr 0.395 0.395 0.071
5 Pr 0.605 0.605 0.929
6 Pr 0.664 0.664 0.426
7 Pr 0.818 0.818 0.271
8 Pr 0.987 0.987 0.733
9 Sm 0.187 0.187 0.159
10 Sm 0.813 0.813 0.841
11 Hg 0.500 0.500 0.500

Most intense lines, 2θ from 5° to 70°, low angle first:
2θ/deg, d (Å), I (rel.)
29.45, 3.033, 438
30.68, 2.914, 1000
30.95, 2.890, 229
31.32, 2.856, 555
32.06, 2.791, 192
32.73, 2.736, 451
45.46, 1.995, 221
55.34, 1.660, 190